No. 1
This entry pairs a crystal structure of Rb2Ti4H3F21 with its computed XRD peak list. Radiation: λ = 1.5418 Å (Cu Kα). Structure: a cell relaxed with GGA-PBE.
Kinematic intensities with the Lorentz-polarization factor, no thermal factor.

Most intense lines, 2θ from 10° to 90°, in order of rising 2θ:
2theta	I/Imax
11.82	45
18.99	100
20.79	73
23.72	96
23.83	89
24.17	98
24.81	51
25.97	40
42.59	57
44.77	45

Structure:
Unit cell a=10.476 b=10.647 c=10.823 alpha=65.27 beta=89.81 gamma=64.76
Space group P-1 (No. 2)
Inequivalent atoms, fractional coordinates:
1 Rb 0.073 0.324 0.397 (multiplicity 2)
2 Rb 0.151 0.099 0.855 (multiplicity 2)
3 Ti 0.139 0.655 0.994 (multiplicity 2)
4 Ti 0.306 0.785 0.668 (multiplicity 2)
5 Ti 0.399 0.206 0.110 (multiplicity 2)
6 Ti 0.430 0.665 0.218 (multiplicity 2)
7 H 0.189 0.658 0.380 (multiplicity 2)
8 H 0.273 0.350 0.660 (multiplicity 2)
9 H 0.469 0.172 0.509 (multiplicity 2)
10 F 0.023 0.664 0.866 (multiplicity 2)
11 F 0.046 0.861 0.952 (multiplicity 2)
12 F 0.057 0.595 0.141 (multiplicity 2)
13 F 0.088 0.687 0.377 (multiplicity 2)
14 F 0.161 0.772 0.594 (multiplicity 2)
15 F 0.174 0.368 0.644 (multiplicity 2)
16 F 0.199 0.985 0.640 (multiplicity 2)
17 F 0.258 0.706 0.853 (multiplicity 2)
18 F 0.274 0.436 0.047 (multiplicity 2)
19 F 0.278 0.215 0.986 (multiplicity 2)
20 F 0.297 0.632 0.122 (multiplicity 2)
21 F 0.304 0.870 0.145 (multiplicity 2)
22 F 0.311 0.160 0.253 (multiplicity 2)
23 F 0.350 0.609 0.372 (multiplicity 2)
24 F 0.373 0.181 0.517 (multiplicity 2)
25 F 0.383 0.837 0.513 (multiplicity 2)
26 F 0.425 0.329 0.692 (multiplicity 2)
27 F 0.436 0.560 0.723 (multiplicity 2)
28 F 0.457 0.986 0.845 (multiplicity 2)
29 F 0.471 0.767 0.778 (multiplicity 2)
30 F 0.492 0.293 0.951 (multiplicity 2)

=====

No. 2
This entry pairs a crystal structure of YMgBe with its computed XRD peak list. Radiation: λ = 1.5418 Å (Cu Kα). Structure: a cell relaxed with GGA-PBE.
Kinematic intensities with the Lorentz-polarization factor, no thermal factor.

Most intense lines, 2θ from 10° to 90°, in order of rising 2θ:
2theta	I/Imax
20.95	35
24.84	47
28.75	22
32.71	100
35.85	50
38.36	27
42.65	20
53.19	20
57.79	38
70.44	17

Structure:
Unit cell a=12.428 b=4.240 c=7.163 alpha=90.00 beta=90.00 gamma=90.00
Space group Pmma (No. 51)
Inequivalent atoms, fractional coordinates:
1 Y 0.042 0.000 0.228 (multiplicity 4)
2 Y 0.250 0.000 0.861 (multiplicity 2)
3 Mg 0.126 0.500 0.571 (multiplicity 4)
4 Mg 0.250 0.500 0.204 (multiplicity 2)
5 Be 0.084 0.500 0.952 (multiplicity 4)
6 Be 0.250 0.000 0.444 (multiplicity 2)

=====

No. 3
This entry pairs a crystal structure of BaBS2 with its computed XRD peak list. Radiation: λ = 1.5418 Å (Cu Kα). Structure: a cell relaxed with GGA-PBE.
Kinematic intensities with the Lorentz-polarization factor, no thermal factor.

Most intense lines, 2θ from 10° to 90°, in order of rising 2θ:
2theta	I/Imax
12.76	30
18.08	44
21.62	74
25.68	33
33.81	100
39.83	17
41.15	25
55.22	25
62.26	16
70.31	18

Structure:
Unit cell a=6.938 b=6.938 c=5.102 alpha=90.00 beta=90.00 gamma=90.00
Space group P4_2/m (No. 84)
Inequivalent atoms, fractional coordinates:
1 Ba 0.000 0.500 0.000 (multiplicity 2)
2 B 0.000 0.000 0.250 (multiplicity 2)
3 S 0.085 0.804 0.500 (multiplicity 4)